(1)
The following is a simulated powder XRD pattern of Mg3Mn5B4O16. It was derived from a GGA+U-relaxed structure, using Cu Kα (weighted mean of Kα1 and Kα2).
Intensities are scaled so that the largest is 100.

Peak list (10 most intense, 2θ from 10° to 90°, most intense first)
32.37°, I = 100.0; 13.27°, I = 84.6; 34.71°, I = 64.7; 34.33°, I = 56.6; 21.11°, I = 50.3; 30.06°, I = 46.5; 43.01°, I = 35.8; 56.97°, I = 31.5; 58.02°, I = 27.9; 34.21°, I = 23.6

Structural model:
```
Mg3Mn5B4O16
1.0
3.242 0.000 0.000
0.029 9.394 0.000
0.689 -0.001 9.475
Mg Mn B O
3 5 4 16
direct
0.000 0.000 0.000
0.002 0.134 0.501
0.514 0.500 0.296
0.012 0.378 0.021
0.013 0.754 0.514
0.505 0.881 0.279
0.508 0.252 0.779
0.514 0.631 0.796
0.530 0.184 0.236
0.533 0.950 0.734
0.985 0.685 0.065
0.987 0.447 0.558
0.014 0.557 0.140
0.017 0.576 0.633
0.031 0.204 0.912
0.035 0.931 0.410
0.474 0.429 0.886
0.485 0.704 0.384
0.502 0.058 0.158
0.503 0.076 0.656
0.523 0.952 0.877
0.524 0.180 0.378
0.559 0.315 0.164
0.568 0.820 0.660
0.955 0.816 0.136
0.958 0.319 0.632
0.992 0.450 0.415
0.992 0.685 0.923
```

(2)
The following is a simulated powder XRD pattern of Mg6CdNiO8. It was derived from a GGA+U-relaxed structure, using Cu Kα (weighted mean of Kα1 and Kα2).
Intensities are scaled so that the largest is 100.

Peak list (10 most intense, 2θ from 10° to 90°, most intense first)
41.46°, I = 100.0; 10.22°, I = 99.0; 35.78°, I = 58.8; 60.29°, I = 57.0; 41.74°, I = 48.3; 30.81°, I = 35.1; 60.08°, I = 29.2; 29.01°, I = 27.1; 75.82°, I = 26.6; 20.52°, I = 24.5

Structural model:
```
Mg6CdNiO8
1.0
4.356 0.000 0.000
0.000 4.356 0.000
0.000 0.000 8.655
Mg Cd Ni O
6 1 1 8
direct
0.000 0.000 0.000
0.000 0.500 0.246
0.000 0.500 0.754
0.500 0.000 0.246
0.500 0.000 0.754
0.500 0.500 0.000
0.000 0.000 0.500
0.500 0.500 0.500
0.000 0.000 0.234
0.000 0.000 0.766
0.000 0.500 0.000
0.000 0.500 0.500
0.500 0.000 0.000
0.500 0.000 0.500
0.500 0.500 0.251
0.500 0.500 0.749
```

(3)
The following is a simulated powder XRD pattern of VHO3. It was derived from a GGA+U-relaxed structure, using Cu Kα (weighted mean of Kα1 and Kα2).
Intensities are scaled so that the largest is 100.

Peak list (10 most intense, 2θ from 10° to 90°, most intense first)
10.82°, I = 100.0; 27.30°, I = 40.2; 14.97°, I = 27.2; 24.11°, I = 19.2; 25.70°, I = 16.0; 30.23°, I = 14.6; 44.12°, I = 14.0; 30.52°, I = 13.8; 35.57°, I = 7.4; 38.75°, I = 6.9

Structural model:
```
VHO3
1.0
5.116 0.000 0.000
0.000 8.570 0.000
-1.351 0.000 8.180
V H O
6 6 18
direct
0.046 0.000 0.322
0.058 0.390 0.327
0.430 0.700 0.571
0.570 0.200 0.429
0.942 0.890 0.673
0.954 0.500 0.678
0.281 0.315 0.868
0.332 0.724 0.064
0.426 0.105 0.899
0.574 0.605 0.101
0.668 0.224 0.936
0.719 0.815 0.132
0.078 0.005 0.817
0.084 0.694 0.744
0.099 0.380 0.832
0.169 0.853 0.500
0.177 0.533 0.509
0.366 0.041 0.290
0.384 0.346 0.286
0.394 0.198 0.575
0.481 0.211 0.939
0.519 0.711 0.061
0.606 0.698 0.425
0.616 0.846 0.714
0.634 0.541 0.710
0.823 0.033 0.491
0.831 0.353 0.500
0.901 0.880 0.168
0.916 0.194 0.256
0.922 0.505 0.183
```

(4)
The following is a simulated powder XRD pattern of K4W11O35. It was derived from a GGA+U-relaxed structure, using Cu Kα (weighted mean of Kα1 and Kα2).
Intensities are scaled so that the largest is 100.

Peak list (10 most intense, 2θ from 10° to 90°, most intense first)
20.43°, I = 100.0; 13.96°, I = 65.8; 27.37°, I = 65.2; 27.74°, I = 64.4; 28.14°, I = 63.4; 33.50°, I = 39.9; 10.17°, I = 32.2; 34.00°, I = 27.5; 20.74°, I = 21.0; 13.59°, I = 19.4

Structural model:
```
K4W11O35
1.0
7.357 0.000 0.000
3.585 6.519 0.000
1.544 0.401 17.389
K W O
4 11 35
direct
0.000 0.000 0.000
0.003 0.091 0.495
0.076 0.952 0.265
0.904 0.250 0.745
0.027 0.564 0.885
0.035 0.519 0.382
0.054 0.535 0.160
0.058 0.581 0.594
0.433 0.118 0.089
0.514 0.038 0.919
0.519 0.559 0.887
0.522 0.535 0.404
0.542 0.035 0.634
0.547 0.032 0.392
0.562 0.546 0.114
0.023 0.498 0.503
0.033 0.630 0.786
0.036 0.537 0.270
0.158 0.112 0.114
0.190 0.724 0.571
0.197 0.194 0.183
0.203 0.416 0.068
0.219 0.350 0.648
0.222 0.637 0.922
0.235 0.610 0.385
0.238 0.280 0.897
0.239 0.241 0.388
0.312 0.588 0.170
0.346 0.070 0.557
0.412 0.855 0.914
0.454 0.814 0.392
0.463 0.012 0.731
0.512 0.565 0.787
0.516 0.813 0.110
0.549 0.944 0.512
0.560 0.997 0.278
0.576 0.524 0.013
0.588 0.257 0.434
0.602 0.230 0.108
0.623 0.148 0.295
0.638 0.245 0.924
0.674 0.146 0.848
0.680 0.177 0.625
0.786 0.752 0.636
0.808 0.804 0.937
0.819 0.465 0.157
0.825 0.441 0.395
0.829 0.465 0.886
0.838 0.805 0.394
0.894 0.791 0.130
```

(5)
The following is a simulated powder XRD pattern of KSrPrMnO6. It was derived from a GGA+U-relaxed structure, using Cu Kα (weighted mean of Kα1 and Kα2).
Intensities are scaled so that the largest is 100.

Peak list (10 most intense, 2θ from 10° to 90°, most intense first)
29.84°, I = 100.0; 52.97°, I = 38.0; 42.71°, I = 36.1; 61.99°, I = 21.0; 85.88°, I = 20.5; 70.30°, I = 17.8; 18.14°, I = 16.5; 20.98°, I = 15.5; 35.15°, I = 15.3; 46.76°, I = 9.5

Structural model:
```
KSrPrMnO6
1.0
0.000 4.234 4.234
4.234 0.000 4.234
4.234 4.234 0.000
K Sr Pr Mn O
1 1 1 1 6
direct
0.000 0.000 0.000
0.500 0.500 0.500
0.750 0.750 0.750
0.250 0.250 0.250
0.025 0.025 0.475
0.025 0.475 0.025
0.025 0.475 0.475
0.475 0.025 0.025
0.475 0.025 0.475
0.475 0.475 0.025
```

(6)
The following is a simulated powder XRD pattern of Li2CoSnO4. It was derived from a GGA+U-relaxed structure, using Cu Kα (weighted mean of Kα1 and Kα2).
Intensities are scaled so that the largest is 100.

Peak list (10 most intense, 2θ from 10° to 90°, most intense first)
17.74°, I = 100.0; 41.40°, I = 52.9; 34.10°, I = 35.8; 41.60°, I = 26.2; 17.54°, I = 25.9; 33.97°, I = 24.1; 35.51°, I = 20.4; 35.91°, I = 19.8; 59.99°, I = 16.1; 60.13°, I = 16.0

Structural model:
```
Li2CoSnO4
1.0
4.342 -4.363 0.000
4.342 4.363 0.000
-4.270 0.000 4.360
Li Co Sn O
4 2 2 8
direct
0.000 0.000 0.000
0.000 0.000 0.500
0.000 0.500 0.000
0.500 0.000 0.500
0.500 0.500 0.000
0.500 0.500 0.500
0.000 0.500 0.500
0.500 0.000 0.000
0.247 0.751 0.989
0.248 0.275 0.512
0.249 0.753 0.511
0.275 0.248 0.012
0.725 0.752 0.988
0.751 0.247 0.489
0.752 0.725 0.488
0.753 0.249 0.011
```

(7)
The following is a simulated powder XRD pattern of Ti4Ni2O. It was derived from a GGA+U-relaxed structure, using Cu Kα (weighted mean of Kα1 and Kα2).
Intensities are scaled so that the largest is 100.

Peak list (10 most intense, 2θ from 10° to 90°, most intense first)
41.27°, I = 100.0; 38.81°, I = 28.4; 70.27°, I = 27.3; 45.12°, I = 22.8; 84.89°, I = 17.4; 48.03°, I = 13.0; 76.87°, I = 7.3; 57.94°, I = 6.8; 89.64°, I = 6.0; 71.94°, I = 5.7

Structural model:
```
Ti4Ni2O
1.0
0.000 5.683 5.683
5.683 0.000 5.683
5.683 5.683 0.000
Ti Ni O
16 8 4
direct
0.000 0.000 0.000
0.000 0.000 0.500
0.000 0.500 0.000
0.194 0.194 0.556
0.194 0.556 0.194
0.194 0.556 0.556
0.444 0.444 0.806
0.444 0.806 0.444
0.444 0.806 0.806
0.500 0.000 0.000
0.556 0.194 0.194
0.556 0.194 0.556
0.556 0.556 0.194
0.806 0.444 0.444
0.806 0.444 0.806
0.806 0.806 0.444
0.134 0.789 0.789
0.211 0.211 0.211
0.211 0.211 0.866
0.211 0.866 0.211
0.789 0.134 0.789
0.789 0.789 0.134
0.789 0.789 0.789
0.866 0.211 0.211
0.000 0.500 0.500
0.500 0.000 0.500
0.500 0.500 0.000
0.500 0.500 0.500
```